Li3Co2O5: calculated powder diffraction line list (Cu Kα X-rays), based on DFT lattice parameters and positions (PBE+U).
Peak positions follow from Bragg's law for the DFT cell and can differ from measured ones.

Principal peaks in the range 2θ = 10–80°, low angle first:
two_theta  I/Imax
11.2  9
12.0  12
14.2  10
18.4  100
35.1  17
36.5  13
36.9  11
42.1  34
44.3  27
44.8  27
47.6  10
62.9  16

Crystal structure
```
data_Li3Co2O5
_symmetry_space_group_name_H-M 'P 1'
_symmetry_Int_Tables_number 1
_cell_length_a 2.9356
_cell_length_b 7.7103
_cell_length_c 8.1778
_cell_angle_alpha 104.57
_cell_angle_beta 90.57
_cell_angle_gamma 97.58
loop_
_symmetry_equiv_pos_as_xyz
'x,y,z'
loop_
_atom_site_label
_atom_site_fract_x
_atom_site_fract_y
_atom_site_fract_z
Li1 0.0000 0.0000 0.0000
Li2 0.0000 0.0000 0.5000
Li3 0.1882 0.3989 0.0943
Li4 0.4086 0.8061 0.7123
Li5 0.5914 0.1939 0.2877
Li6 0.8118 0.6011 0.9057
Co1 0.1929 0.4003 0.6043
Co2 0.4064 0.8072 0.1879
Co3 0.5936 0.1928 0.8121
Co4 0.8071 0.5997 0.3957
O1 0.0293 0.9877 0.2488
O2 0.1933 0.4104 0.3556
O3 0.2115 0.3828 0.8428
O4 0.4004 0.7982 0.9724
O5 0.4010 0.7861 0.4275
O6 0.5990 0.2139 0.5725
O7 0.5996 0.2018 0.0276
O8 0.7885 0.6172 0.1572
O9 0.8067 0.5896 0.6444
O10 0.9707 0.0123 0.7512
```

Ag6Mo10O33: calculated powder diffraction line list (Cu Kα X-rays), based on DFT lattice parameters and positions (PBE+U).
Peak positions follow from Bragg's law for the DFT cell and can differ from measured ones.

Principal peaks in the range 2θ = 10–80°, low angle first:
two_theta  I/Imax
10.7  26
24.3  29
26.7  91
26.9  100
27.0  85
28.4  20
28.6  44
30.3  31
30.5  30
31.6  56
36.2  33
46.5  25

Crystal structure
```
data_Ag6Mo10O33
_symmetry_space_group_name_H-M 'P 1'
_symmetry_Int_Tables_number 1
_cell_length_a 7.6884
_cell_length_b 8.4813
_cell_length_c 11.5523
_cell_angle_alpha 86.85
_cell_angle_beta 78.12
_cell_angle_gamma 76.36
loop_
_symmetry_equiv_pos_as_xyz
'x,y,z'
loop_
_atom_site_label
_atom_site_fract_x
_atom_site_fract_y
_atom_site_fract_z
Ag1 0.1492 0.0016 0.2532
Ag2 0.2335 0.5286 0.2783
Ag3 0.3225 0.4741 0.7346
Ag4 0.6775 0.5259 0.2654
Ag5 0.7665 0.4714 0.7217
Ag6 0.8508 0.9984 0.7468
Mo1 0.0585 0.7766 0.9984
Mo2 0.2131 0.1995 0.5215
Mo3 0.3122 0.9994 0.8193
Mo4 0.3478 0.8069 0.5187
Mo5 0.4401 0.2247 0.0014
Mo6 0.5599 0.7753 0.9986
Mo7 0.6522 0.1931 0.4813
Mo8 0.6878 0.0006 0.1807
Mo9 0.7869 0.8005 0.4785
Mo10 0.9415 0.2234 0.0016
O1 0.0211 0.3415 0.5911
O2 0.0537 0.9871 0.8786
O3 0.0831 0.6741 0.1306
O4 0.1055 0.6262 0.8928
O5 0.1531 0.9957 0.5767
O6 0.1852 0.1982 0.3746
O7 0.2109 0.1706 0.9794
O8 0.2513 0.6526 0.5944
O9 0.2855 0.1712 0.7251
O10 0.3065 0.8278 0.9755
O11 0.3082 0.8002 0.3743
O12 0.3416 0.3505 0.1229
O13 0.3923 0.8375 0.7199
O14 0.4002 0.3192 0.5037
O15 0.4681 0.3558 0.8790
O16 0.4715 0.9967 0.1193
O17 0.5000 0.0000 0.5000
O18 0.5285 0.0033 0.8807
O19 0.5319 0.6442 0.1210
O20 0.5998 0.6808 0.4963
O21 0.6077 0.1625 0.2801
O22 0.6584 0.6495 0.8771
O23 0.6918 0.1998 0.6257
O24 0.6935 0.1722 0.0245
O25 0.7145 0.8288 0.2749
O26 0.7487 0.3474 0.4056
O27 0.7891 0.8294 0.0206
O28 0.8148 0.8018 0.6254
O29 0.8469 0.0043 0.4233
O30 0.8945 0.3738 0.1072
O31 0.9169 0.3259 0.8694
O32 0.9463 0.0129 0.1214
O33 0.9789 0.6585 0.4089
```

Dy2WO6: calculated powder diffraction line list (Cu Kα X-rays), based on DFT lattice parameters and positions (PBE+U).
Peak positions follow from Bragg's law for the DFT cell and can differ from measured ones.

Principal peaks in the range 2θ = 10–80°, low angle first:
two_theta  I/Imax
28.5  100
29.2  100
31.8  12
32.1  21
33.2  24
35.1  21
46.8  17
47.4  10
49.1  24
49.2  11
58.6  11
59.8  12

Crystal structure
```
data_Dy2WO6
_symmetry_space_group_name_H-M 'P 1'
_symmetry_Int_Tables_number 1
_cell_length_a 7.7079
_cell_length_b 5.3995
_cell_length_c 11.4858
_cell_angle_alpha 90.00
_cell_angle_beta 104.53
_cell_angle_gamma 90.00
loop_
_symmetry_equiv_pos_as_xyz
'x,y,z'
loop_
_atom_site_label
_atom_site_fract_x
_atom_site_fract_y
_atom_site_fract_z
Dy1 0.0000 0.1837 0.2500
Dy2 0.0000 0.8163 0.7500
Dy3 0.2967 0.3118 0.9221
Dy4 0.2967 0.6882 0.4221
Dy5 0.5000 0.2379 0.2500
Dy6 0.5000 0.7621 0.7500
Dy7 0.7033 0.3118 0.5779
Dy8 0.7033 0.6882 0.0779
W1 0.2215 0.2458 0.6137
W2 0.2215 0.7542 0.1137
W3 0.7785 0.2458 0.8863
W4 0.7785 0.7542 0.3863
O1 0.0106 0.1364 0.8876
O2 0.0106 0.8636 0.3876
O3 0.1340 0.3522 0.4518
O4 0.1340 0.6478 0.9518
O5 0.2095 0.4852 0.2290
O6 0.2095 0.5148 0.7290
O7 0.2866 0.0366 0.7717
O8 0.2866 0.9634 0.2717
O9 0.3511 0.0261 0.0692
O10 0.3511 0.9739 0.5692
O11 0.4384 0.4612 0.6041
O12 0.4384 0.5387 0.1041
O13 0.5616 0.4612 0.8959
O14 0.5616 0.5387 0.3959
O15 0.6489 0.0261 0.4308
O16 0.6489 0.9739 0.9308
O17 0.7134 0.0366 0.7283
O18 0.7134 0.9634 0.2283
O19 0.7905 0.4852 0.2710
O20 0.7905 0.5148 0.7710
O21 0.8660 0.3522 0.0482
O22 0.8660 0.6478 0.5482
O23 0.9894 0.1364 0.6124
O24 0.9894 0.8636 0.1124
```

LiVO2: calculated powder diffraction line list (Cu Kα X-rays), based on DFT lattice parameters and positions (PBE+U).
Peak positions follow from Bragg's law for the DFT cell and can differ from measured ones.

Principal peaks in the range 2θ = 10–80°, low angle first:
two_theta  I/Imax
23.3  91
24.3  100
37.0  25
37.4  20
41.3  59
42.5  59
44.9  49
49.5  24
60.8  31
62.7  28
63.5  29
78.7  25

Crystal structure
```
data_LiVO2
_symmetry_space_group_name_H-M 'P 1'
_symmetry_Int_Tables_number 1
_cell_length_a 4.0368
_cell_length_b 4.2543
_cell_length_c 5.2601
_cell_angle_alpha 113.81
_cell_angle_beta 112.55
_cell_angle_gamma 90.01
loop_
_symmetry_equiv_pos_as_xyz
'x,y,z'
loop_
_atom_site_label
_atom_site_fract_x
_atom_site_fract_y
_atom_site_fract_z
Li1 0.1401 0.3881 0.2766
Li2 0.8599 0.6119 0.7234
V1 0.3805 0.1315 0.7634
V2 0.6195 0.8685 0.2366
O1 0.1435 0.8946 0.2867
O2 0.3912 0.6419 0.7847
O3 0.6088 0.3581 0.2153
O4 0.8565 0.1054 0.7133
```

CrWO4: calculated powder diffraction line list (Cu Kα X-rays), based on DFT lattice parameters and positions (PBE+U).
Peak positions follow from Bragg's law for the DFT cell and can differ from measured ones.

Principal peaks in the range 2θ = 10–80°, low angle first:
two_theta  I/Imax
18.8  87
26.2  74
27.2  68
30.1  13
35.7  100
38.0  16
38.2  15
40.3  27
52.7  42
53.7  41
53.9  14
67.2  12

Crystal structure
```
data_CrWO4
_symmetry_space_group_name_H-M 'P 1'
_symmetry_Int_Tables_number 1
_cell_length_a 5.5756
_cell_length_b 5.5756
_cell_length_c 4.7373
_cell_angle_alpha 91.70
_cell_angle_beta 91.70
_cell_angle_gamma 64.38
loop_
_symmetry_equiv_pos_as_xyz
'x,y,z'
loop_
_atom_site_label
_atom_site_fract_x
_atom_site_fract_y
_atom_site_fract_z
Cr1 0.0000 0.0000 0.0000
Cr2 0.5194 0.5194 0.9812
W1 0.0311 0.4884 0.4906
W2 0.4884 0.0311 0.4906
O1 0.1476 0.1476 0.7062
O2 0.1654 0.6511 0.7873
O3 0.3557 0.8674 0.1941
O4 0.3719 0.3719 0.2750
O5 0.6511 0.1654 0.7873
O6 0.6674 0.6674 0.6814
O7 0.8527 0.8527 0.3005
O8 0.8674 0.3557 0.1941
```

Li2MnF5: calculated powder diffraction line list (Cu Kα X-rays), based on DFT lattice parameters and positions (PBE+U).
Peak positions follow from Bragg's law for the DFT cell and can differ from measured ones.

Principal peaks in the range 2θ = 10–80°, low angle first:
two_theta  I/Imax
15.9  34
20.9  100
21.9  38
26.9  51
31.6  22
37.8  19
44.6  21
46.4  23
47.9  21
52.9  13
56.9  14
67.5  12

Crystal structure
```
data_Li2MnF5
_symmetry_space_group_name_H-M 'P 1'
_symmetry_Int_Tables_number 1
_cell_length_a 6.5644
_cell_length_b 8.1260
_cell_length_c 7.6619
_cell_angle_alpha 90.00
_cell_angle_beta 90.00
_cell_angle_gamma 90.00
loop_
_symmetry_equiv_pos_as_xyz
'x,y,z'
loop_
_atom_site_label
_atom_site_fract_x
_atom_site_fract_y
_atom_site_fract_z
Li1 0.0230 0.0807 0.2319
Li2 0.0230 0.4193 0.2319
Li3 0.4770 0.5807 0.7319
Li4 0.4770 0.9193 0.7319
Li5 0.5230 0.0807 0.2681
Li6 0.5230 0.4193 0.2681
Li7 0.9770 0.5807 0.7681
Li8 0.9770 0.9193 0.7681
Mn1 0.2352 0.2500 0.6067
Mn2 0.2648 0.7500 0.1067
Mn3 0.7352 0.2500 0.8933
Mn4 0.7648 0.7500 0.3933
F1 0.0255 0.7500 0.9365
F2 0.0773 0.7500 0.2899
F3 0.0819 0.2500 0.4001
F4 0.2183 0.0156 0.6474
F5 0.2183 0.4844 0.6474
F6 0.2817 0.5156 0.1474
F7 0.2817 0.9844 0.1474
F8 0.4181 0.7500 0.9001
F9 0.4227 0.2500 0.7899
F10 0.4745 0.2500 0.4365
F11 0.5255 0.7500 0.5635
F12 0.5773 0.7500 0.2101
F13 0.5819 0.2500 0.0999
F14 0.7183 0.0156 0.8526
F15 0.7183 0.4844 0.8526
F16 0.7817 0.5156 0.3526
F17 0.7817 0.9844 0.3526
F18 0.9181 0.7500 0.5999
F19 0.9227 0.2500 0.7101
F20 0.9745 0.2500 0.0635
```

Zn3Ni3As4O16: calculated powder diffraction line list (Cu Kα X-rays), based on DFT lattice parameters and positions (PBE+U).
Peak positions follow from Bragg's law for the DFT cell and can differ from measured ones.

Principal peaks in the range 2θ = 10–80°, low angle first:
two_theta  I/Imax
13.1  26
18.1  27
24.6  26
27.1  90
28.7  27
29.8  100
33.2  59
34.6  65
34.8  29
36.5  78
39.6  30
63.3  21

Crystal structure
```
data_Zn3Ni3As4O16
_symmetry_space_group_name_H-M 'P 1'
_symmetry_Int_Tables_number 1
_cell_length_a 8.5614
_cell_length_b 5.1843
_cell_length_c 15.8214
_cell_angle_alpha 90.00
_cell_angle_beta 110.29
_cell_angle_gamma 90.00
loop_
_symmetry_equiv_pos_as_xyz
'x,y,z'
loop_
_atom_site_label
_atom_site_fract_x
_atom_site_fract_y
_atom_site_fract_z
Zn1 0.0000 0.0000 0.0000
Zn2 0.0000 0.5000 0.5000
Zn3 0.2954 0.0544 0.2810
Zn4 0.2954 0.4456 0.7810
Zn5 0.7046 0.5544 0.2190
Zn6 0.7046 0.9456 0.7190
Ni1 0.2121 0.5128 0.3770
Ni2 0.2121 0.9872 0.8770
Ni3 0.5000 0.0000 0.5000
Ni4 0.5000 0.5000 0.0000
Ni5 0.7879 0.0128 0.1230
Ni6 0.7879 0.4872 0.6230
As1 0.0388 0.0077 0.6486
As2 0.0388 0.4923 0.1486
As3 0.4178 0.5154 0.6032
As4 0.4178 0.9846 0.1032
As5 0.5822 0.0154 0.8968
As6 0.5822 0.4846 0.3968
As7 0.9612 0.5077 0.8514
As8 0.9612 0.9923 0.3514
O1 0.0086 0.6801 0.6293
O2 0.0086 0.8199 0.1293
O3 0.0950 0.1763 0.5725
O4 0.0950 0.3237 0.0725
O5 0.1476 0.6180 0.8420
O6 0.1476 0.8820 0.3420
O7 0.1942 0.0831 0.7511
O8 0.1942 0.4169 0.2511
O9 0.2495 0.5834 0.5086
O10 0.2495 0.9166 0.0086
O11 0.3933 0.6004 0.7007
O12 0.3933 0.8996 0.2007
O13 0.4233 0.2289 0.9046
O14 0.4233 0.2711 0.4046
O15 0.4872 0.7227 0.8968
O16 0.4872 0.7773 0.3968
O17 0.5128 0.2227 0.6032
O18 0.5128 0.2773 0.1032
O19 0.5767 0.7289 0.5954
O20 0.5767 0.7711 0.0954
O21 0.6067 0.1004 0.7993
O22 0.6067 0.3996 0.2993
O23 0.7505 0.0834 0.9914
O24 0.7505 0.4166 0.4914
O25 0.8058 0.5831 0.7489
O26 0.8058 0.9169 0.2489
O27 0.8524 0.1180 0.6580
O28 0.8524 0.3820 0.1580
O29 0.9050 0.6763 0.9275
O30 0.9050 0.8237 0.4275
O31 0.9914 0.1801 0.8707
O32 0.9914 0.3199 0.3707
```

KAlMo2O8: calculated powder diffraction line list (Cu Kα X-rays), based on DFT lattice parameters and positions (PBE+U).
Peak positions follow from Bragg's law for the DFT cell and can differ from measured ones.

Principal peaks in the range 2θ = 10–80°, low angle first:
two_theta  I/Imax
21.9  100
30.5  25
31.7  35
36.8  8
38.9  7
41.4  9
44.6  11
51.0  20
53.1  7
55.8  10
60.3  11
66.3  7

Crystal structure
```
data_KAlMo2O8
_symmetry_space_group_name_H-M 'P 1'
_symmetry_Int_Tables_number 1
_cell_length_a 5.6379
_cell_length_b 5.6379
_cell_length_c 7.3183
_cell_angle_alpha 90.00
_cell_angle_beta 90.00
_cell_angle_gamma 120.00
loop_
_symmetry_equiv_pos_as_xyz
'x,y,z'
loop_
_atom_site_label
_atom_site_fract_x
_atom_site_fract_y
_atom_site_fract_z
K1 0.0000 0.0000 0.0000
Al1 0.0000 0.0000 0.5000
Mo1 0.3333 0.6667 0.2703
Mo2 0.6667 0.3333 0.7297
O1 0.1571 0.3141 0.3457
O2 0.1571 0.8429 0.3457
O3 0.3141 0.1571 0.6543
O4 0.3333 0.6667 0.0311
O5 0.6667 0.3333 0.9689
O6 0.6859 0.8429 0.3457
O7 0.8429 0.1571 0.6543
O8 0.8429 0.6859 0.6543
```

MgFe3Ni2SbP6O24: calculated powder diffraction line list (Cu Kα X-rays), based on DFT lattice parameters and positions (PBE+U).
Peak positions follow from Bragg's law for the DFT cell and can differ from measured ones.

Principal peaks in the range 2θ = 10–80°, low angle first:
two_theta  I/Imax
20.2  100
20.7  15
23.8  23
23.9  16
24.0  18
24.2  25
32.7  32
33.1  13
33.4  27
35.3  36
35.4  21
55.1  15

Crystal structure
```
data_MgFe3Ni2SbP6O24
_symmetry_space_group_name_H-M 'P 1'
_symmetry_Int_Tables_number 1
_cell_length_a 8.4639
_cell_length_b 8.5979
_cell_length_c 8.6247
_cell_angle_alpha 61.63
_cell_angle_beta 61.93
_cell_angle_gamma 62.01
loop_
_symmetry_equiv_pos_as_xyz
'x,y,z'
loop_
_atom_site_label
_atom_site_fract_x
_atom_site_fract_y
_atom_site_fract_z
Mg1 0.0000 0.0000 0.0000
Fe1 0.4080 0.0117 0.7833
Fe2 0.5968 0.2226 0.9879
Fe3 0.8988 0.4969 0.2862
Ni1 0.2707 0.8623 0.6358
Ni2 0.7443 0.3711 0.1421
Sb1 0.1133 0.7117 0.5026
P1 0.0008 0.3140 0.6854
P2 0.1864 0.1084 0.1865
P3 0.2985 0.5996 0.1006
P4 0.5097 0.4073 0.5826
P5 0.7131 0.8986 0.3906
P6 0.8162 0.8061 0.8965
O1 0.0159 0.7867 0.7285
O2 0.0698 0.4693 0.6554
O3 0.1519 0.1143 0.7080
O4 0.1543 0.5096 0.1581
O5 0.1835 0.9470 0.3876
O6 0.1901 0.0380 0.0506
O7 0.2524 0.6731 0.2594
O8 0.2723 0.7756 0.9229
O9 0.3483 0.6135 0.5684
O10 0.3592 0.1559 0.1301
O11 0.4280 0.2670 0.6176
O12 0.5018 0.4664 0.0731
O13 0.5158 0.9197 0.5366
O14 0.5768 0.3773 0.7310
O15 0.6508 0.8669 0.8364
O16 0.6569 0.4365 0.3833
O17 0.7331 0.0825 0.2238
O18 0.7774 0.7420 0.3175
O19 0.8178 0.9497 0.9531
O20 0.8336 0.6087 0.0444
O21 0.8568 0.2890 0.8872
O22 0.8588 0.8547 0.4831
O23 0.9329 0.3643 0.5304
O24 0.9926 0.2629 0.2188
```